Record 1
For Sn3O8, a DFT-relaxed cell (PBE, the Materials Project) gives the computed X-ray powder pattern in this record (Cu Kα (λ = 1.5418 Å)).

Atomic structure:
```
data_Sn3O8
_chemical_formula_sum 'Sn6 O16'
_space_group_name_H-M_alt 'I m m m'
_space_group_IT_number 71
_space_group_name_Hall '-I 2 2'
_cell_length_a 6.6608
_cell_length_b 6.8409
_cell_length_c 6.8766
_cell_angle_alpha 90.00
_cell_angle_beta 90.00
_cell_angle_gamma 90.00
loop_
_atom_site_label
_atom_site_type_symbol
_atom_site_fract_x
_atom_site_fract_y
_atom_site_fract_z
Sn1 Sn 0.0000 0.0000 0.0000
Sn2 Sn 0.2407 0.5000 0.0000
O1 O 0.0000 0.1838 0.5000
O2 O 0.0000 0.3079 0.0000
O3 O 0.2222 0.0000 0.2059
```

Largest 10 diffraction maxima, by intensity, 10° ≤ 2θ ≤ 90°:
2θ/deg, I (rel.), index
32.62, 1000, 2 1 1
18.57, 665, 1 0 1
26.05, 642, 0 2 0
25.91, 617, 0 0 2
50.28, 479, 2 3 1
50.12, 437, 2 1 3
18.29, 336, 0 1 1
64.02, 291, 2 3 3
32.14, 289, 1 2 1
37.07, 241, 0 2 2



Record 2
For LiTe4H4O6F8, a DFT-relaxed cell (PBE, the Materials Project) gives the computed X-ray powder pattern in this record (Cu Kα (λ = 1.5418 Å)).

Atomic structure:
```
data_LiTe4H4O6F8
_chemical_formula_sum 'Li1 Te4 H4 O6 F8'
_space_group_name_H-M_alt 'P 1'
_space_group_IT_number 1
_cell_length_a 5.0315
_cell_length_b 6.4616
_cell_length_c 11.6036
_cell_angle_alpha 92.63
_cell_angle_beta 101.08
_cell_angle_gamma 112.27
loop_
_space_group_symop_operation_xyz
'x,y,z'
loop_
_atom_site_label
_atom_site_type_symbol
_atom_site_fract_x
_atom_site_fract_y
_atom_site_fract_z
Li1 Li 0.0000 0.0000 0.0000
Te1 Te 0.0947 0.0343 0.7428
Te2 Te 0.1859 0.0556 0.2828
Te3 Te 0.2831 0.5487 0.0421
Te4 Te 0.7930 0.5441 0.5456
H1 H 0.0711 0.5365 0.3945
H2 H 0.4808 0.6132 0.8588
H3 H 0.5165 0.1306 0.9184
H4 H 0.5986 0.0261 0.4322
O1 O 0.0949 0.7514 0.6815
O2 O 0.2921 0.1735 0.1488
O3 O 0.3060 0.0236 0.8998
O4 O 0.3340 0.4805 0.8840
O5 O 0.5686 0.1550 0.3974
O6 O 0.9964 0.6481 0.4233
F1 F 0.0428 0.3716 0.5872
F2 F 0.2326 0.3718 0.3516
F3 F 0.2884 0.7888 0.2357
F4 F 0.4854 0.1845 0.7040
F5 F 0.7095 0.8345 0.5258
F6 F 0.7103 0.7866 0.0715
F7 F 0.7637 0.8438 0.8268
F8 F 0.8900 0.2665 0.9770
```

Largest 10 diffraction maxima, by intensity, 10° ≤ 2θ ≤ 90°:
2θ/deg, I (rel.), index
20.25, 1000, 0 1 -2
23.13, 593, 0 1 2
19.37, 591, 1 0 -1
21.85, 327, 1 -1 1
19.57, 306, 1 0 0
22.19, 278, 1 0 -2
30.15, 242, 0 2 0
28.72, 227, 1 -2 0
19.96, 207, -1 1 1
22.73, 201, 1 0 1



Record 3
For Sr2CePrCu3Pb2O10, a DFT-relaxed cell (PBE, the Materials Project) gives the computed X-ray powder pattern in this record (Cu Kα (λ = 1.5418 Å)).

Atomic structure:
```
data_Sr2CePrCu3Pb2O10
_chemical_formula_sum 'Sr2 Ce1 Pr1 Cu3 Pb2 O10'
_space_group_name_H-M_alt 'P 1'
_space_group_IT_number 1
_cell_length_a 3.8741
_cell_length_b 3.9029
_cell_length_c 18.9584
_cell_angle_alpha 85.04
_cell_angle_beta 84.38
_cell_angle_gamma 89.98
loop_
_space_group_symop_operation_xyz
'x,y,z'
loop_
_atom_site_label
_atom_site_type_symbol
_atom_site_fract_x
_atom_site_fract_y
_atom_site_fract_z
Sr1 Sr 0.0000 0.0000 0.0000
Sr2 Sr 0.2432 0.2606 0.5282
Ce1 Ce 0.3372 0.3476 0.3343
Pr1 Pr 0.9067 0.9133 0.1931
Cu1 Cu 0.1222 0.1310 0.7628
Cu2 Cu 0.4557 0.4618 0.0942
Cu3 Cu 0.7889 0.7989 0.4306
Pb1 Pb 0.5677 0.5836 0.8574
Pb2 Pb 0.6758 0.6768 0.6694
O1 O 0.0588 0.9832 0.8593
O2 O 0.1856 0.2773 0.6662
O3 O 0.2943 0.8032 0.4190
O4 O 0.3695 0.8781 0.2700
O5 O 0.4505 0.9579 0.1045
O6 O 0.5133 0.5110 0.9727
O7 O 0.7311 0.7500 0.5527
O8 O 0.7942 0.3030 0.4195
O9 O 0.8691 0.3803 0.2695
O10 O 0.9504 0.4552 0.1055
```

Largest 10 diffraction maxima, by intensity, 10° ≤ 2θ ≤ 90°:
2θ/deg, I (rel.), index
32.57, 1000, 1 -1 0
31.60, 882, 0 1 5
31.43, 447, 1 0 -4
31.10, 445, 0 1 -4
57.61, 257, -1 2 5
46.90, 257, 2 0 1
46.54, 250, 0 2 1
24.03, 247, 1 0 2
43.31, 176, 0 0 9
28.49, 167, 0 0 6



Record 4
For ErC8N4Cl7, a DFT-relaxed cell (PBE, the Materials Project) gives the computed X-ray powder pattern in this record (Cu Kα (λ = 1.5418 Å)).

Atomic structure:
```
data_ErC8N4Cl7
_chemical_formula_sum 'Er2 C16 N8 Cl14'
_space_group_name_H-M_alt 'P 21 21 2'
_space_group_IT_number 18
_cell_length_a 8.9463
_cell_length_b 13.8522
_cell_length_c 8.4914
_cell_angle_alpha 90.00
_cell_angle_beta 90.00
_cell_angle_gamma 90.00
loop_
_space_group_symop_operation_xyz
'x,y,z'
'-x,-y,z'
'x+1/2,-y+1/2,-z'
'-x+1/2,y+1/2,-z'
loop_
_atom_site_label
_atom_site_type_symbol
_atom_site_fract_x
_atom_site_fract_y
_atom_site_fract_z
Er1 Er 0.0000 0.0000 0.1383
C1 C 0.0792 0.3271 0.8427
C2 C 0.1767 0.3439 0.1185
C3 C 0.2142 0.5354 0.4442
C4 C 0.2307 0.1759 0.3814
N1 N 0.1390 0.3426 0.9675
N2 N 0.2284 0.6041 0.5424
Cl1 Cl 0.0000 0.5000 0.4089
Cl2 Cl 0.1174 0.8913 0.3305
Cl3 Cl 0.1380 0.8826 0.8558
Cl4 Cl 0.2317 0.1095 0.1006
```

Largest 10 diffraction maxima, by intensity, 10° ≤ 2θ ≤ 90°:
2θ/deg, I (rel.), index
11.78, 1000, 1 1 0
12.23, 728, 0 1 1
15.75, 672, 1 1 1
12.78, 650, 0 2 0
19.29, 614, 1 2 1
24.08, 566, 1 3 1
14.38, 464, 1 0 1
32.70, 407, 2 4 0
10.42, 388, 0 0 1
29.72, 337, 2 1 2



Record 5
For CeCu9Sn4, a DFT-relaxed cell (PBE, the Materials Project) gives the computed X-ray powder pattern in this record (Cu Kα (λ = 1.5418 Å)).

Atomic structure:
```
data_CeCu9Sn4
_chemical_formula_sum 'Ce4 Cu36 Sn16'
_space_group_name_H-M_alt 'I 4/m c m'
_space_group_IT_number 140
_space_group_name_Hall '-I 4 2c'
_cell_length_a 9.1159
_cell_length_b 9.1159
_cell_length_c 11.7516
_cell_angle_alpha 90.00
_cell_angle_beta 90.00
_cell_angle_gamma 90.00
loop_
_atom_site_label
_atom_site_type_symbol
_atom_site_fract_x
_atom_site_fract_y
_atom_site_fract_z
Ce1 Ce 0.0000 0.0000 0.2500
Cu1 Cu 0.0000 0.5000 0.0000
Cu2 Cu 0.1066 0.3934 0.1798
Cu3 Cu 0.1897 0.3103 0.3630
Sn1 Sn 0.0459 0.2173 0.0000
```

Largest 10 diffraction maxima, by intensity, 10° ≤ 2θ ≤ 90°:
2θ/deg, I (rel.), index
42.56, 1000, 3 2 3
41.57, 964, 4 1 1
31.66, 910, 2 2 2
34.66, 876, 3 1 2
36.38, 359, 2 0 4
44.49, 330, 2 1 5
70.40, 314, 4 1 7
50.70, 285, 4 0 4
54.83, 236, 2 2 6
15.08, 207, 0 0 2



Record 6
For CsTcO4, a DFT-relaxed cell (PBE, the Materials Project) gives the computed X-ray powder pattern in this record (Cu Kα (λ = 1.5418 Å)).

Atomic structure:
```
data_CsTcO4
_chemical_formula_sum 'Cs4 Tc4 O16'
_space_group_name_H-M_alt 'P n m a'
_space_group_IT_number 62
_cell_length_a 5.9152
_cell_length_b 6.0875
_cell_length_c 14.7841
_cell_angle_alpha 90.00
_cell_angle_beta 90.00
_cell_angle_gamma 90.00
loop_
_space_group_symop_operation_xyz
'x,y,z'
'-x,-y,-z'
'-x+1/2,-y,z+1/2'
'x+1/2,y,-z+1/2'
'x+1/2,-y+1/2,-z+1/2'
'-x+1/2,y+1/2,z+1/2'
'-x,y+1/2,-z'
'x,-y+1/2,z'
loop_
_atom_site_label
_atom_site_type_symbol
_atom_site_fract_x
_atom_site_fract_y
_atom_site_fract_z
Cs1 Cs 0.0266 0.2500 0.1264
Tc1 Tc 0.0364 0.7500 0.3785
O1 O 0.0068 0.0157 0.6870
O2 O 0.1542 0.2500 0.5319
O3 O 0.1867 0.2500 0.9196
```

Largest 10 diffraction maxima, by intensity, 10° ≤ 2θ ≤ 90°:
2θ/deg, I (rel.), index
24.19, 1000, 1 1 2
24.08, 251, 0 0 4
42.42, 198, 1 1 6
29.34, 159, 0 2 0
49.02, 151, 1 3 2
38.31, 145, 0 2 4
30.22, 144, 2 0 0
39.00, 122, 2 0 4
49.55, 121, 2 2 4
50.18, 104, 3 1 2



Record 7
For KSb, a DFT-relaxed cell (PBE, the Materials Project) gives the computed X-ray powder pattern in this record (Cu Kα (λ = 1.5418 Å)).

Atomic structure:
```
data_KSb
_chemical_formula_sum 'K8 Sb8'
_space_group_name_H-M_alt 'P 1 21/c 1'
_space_group_IT_number 14
_cell_length_a 7.3061
_cell_length_b 7.0845
_cell_length_c 13.5966
_cell_angle_alpha 90.00
_cell_angle_beta 115.04
_cell_angle_gamma 90.00
loop_
_space_group_symop_operation_xyz
'x,y,z'
'-x,-y,-z'
'-x,y+1/2,-z+1/2'
'x,-y+1/2,z+1/2'
loop_
_atom_site_label
_atom_site_type_symbol
_atom_site_fract_x
_atom_site_fract_y
_atom_site_fract_z
K1 K 0.2186 0.1017 0.3302
K2 K 0.2435 0.6661 0.5344
Sb1 Sb 0.3210 0.1656 0.6236
Sb2 Sb 0.3225 0.6013 0.2868
```

Largest 10 diffraction maxima, by intensity, 10° ≤ 2θ ≤ 90°:
2θ/deg, I (rel.), index
29.16, 1000, 1 1 -4
33.39, 900, 0 2 3
26.94, 869, 2 0 0
13.38, 772, 1 0 0
19.09, 750, 0 1 2
36.84, 742, 2 2 -3
26.23, 704, 1 0 -4
17.50, 639, 1 1 -1
14.38, 627, 0 0 2
30.91, 562, 1 2 1